Structure and computed powder X-ray diffraction pattern of Y3Al3Zn8 (a GGA-PBE-relaxed structure; Cu Kα (λ = 1.5418 Å)).
Peak positions follow from Bragg's law for the DFT cell and can differ from measured ones.

Main lines, sorted by position (2θ from 10° to 90°):
d (Å)  two_theta  Rel. int.  index
6.280  14.1  17  0 0 2
2.971  30.1  18  1 0 3
2.627  34.1  26  0 2 4
2.545  35.3  80  1 3 0
2.525  35.5  100  1 2 3
2.436  36.9  22  1 1 4
2.360  38.1  16  1 3 2
2.109  42.9  43  2 0 0
2.093  43.2  24  0 0 6
2.056  44.0  19  1 4 1
1.744  52.5  18  0 5 3
1.360  69.1  17  1 4 7

Atomic structure:
```
data_Y3Al3Zn8
_chemical_formula_sum 'Y6 Al6 Zn16'
_cell_length_a 4.2175
_cell_length_b 9.5877
_cell_length_c 12.5593
_cell_angle_alpha 90.00
_cell_angle_beta 90.00
_cell_angle_gamma 90.00
_symmetry_space_group_name_H-M 'I m m m'
_symmetry_Int_Tables_number 71
_symmetry_space_group_name_Hall '-I 2 2'
loop_
_atom_site_label
_atom_site_fract_x
_atom_site_fract_y
_atom_site_fract_z
Y1 0.0000 0.0000 0.0000
Y2 0.0000 0.0000 0.3058
Al1 0.0000 0.2083 0.5000
Al2 0.0000 0.5000 0.0000
Zn1 0.0000 0.2762 0.1399
Zn2 0.0000 0.3689 0.3376
```